Entry 1:
The following is a simulated powder diffraction line list of Ba5BiPb4O15. It was derived from DFT lattice parameters and positions (PBE), using copper Kα.
Neutral-atom scattering factors, no anomalous dispersion.

Principal peaks in the range 2θ from 10° to 90°, by angle:
hkl 1 -1 0, 2θ = 28.7°, d 3.107, I = 20
hkl 2 1 1, 2θ = 28.9°, d 3.086, I = 100
hkl 2 0 -6, 2θ = 41.3°, d 2.189, I = 22
hkl 2 2 8, 2θ = 41.5°, d 2.177, I = 10
hkl 3 0 1, 2θ = 51.0°, d 1.790, I = 18
hkl 1 3 8, 2θ = 51.2°, d 1.783, I = 9
hkl 1 1 14, 2θ = 51.3°, d 1.781, I = 21
hkl 4 2 2, 2θ = 59.9°, d 1.544, I = 14
hkl 4 1 -5, 2θ = 67.7°, d 1.383, I = 8
hkl 3 5 -4, 2θ = 82.8°, d 1.166, I = 9

Cell and atoms:
Lattice parameters (Å, degrees): 6.1711 6.1725 25.4243 83.10 83.12 60.45
Element x y z (fractional)
Ba: 0.0443 0.0539 0.3518
Ba: 0.1524 0.1467 0.0508
Ba: 0.2480 0.2552 0.7469
Ba: 0.3547 0.3447 0.4506
Ba: 0.4454 0.4519 0.1530
Ba: 0.5546 0.5481 0.8470
Ba: 0.6453 0.6553 0.5494
Ba: 0.7520 0.7448 0.2531
Ba: 0.8476 0.8533 0.9492
Ba: 0.9557 0.9461 0.6482
Bi: 0.2005 0.1999 0.8995
Bi: 0.7995 0.8001 0.1005
Pb: 0.0000 0.0000 0.5000
Pb: 0.1001 0.0986 0.2015
Pb: 0.3001 0.3004 0.5995
Pb: 0.3990 0.4001 0.3009
Pb: 0.5000 0.5000 0.0000
Pb: 0.6010 0.5999 0.6991
Pb: 0.6999 0.6996 0.4005
Pb: 0.8999 0.9014 0.7985
O: 0.0280 0.5310 0.3429
O: 0.0323 0.5317 0.8455
O: 0.0879 0.2108 0.5503
O: 0.1039 0.9935 0.8518
O: 0.1642 0.6700 0.0560
O: 0.1699 0.6709 0.5569
O: 0.2325 0.7271 0.2424
O: 0.2349 0.7270 0.7448
O: 0.2928 0.4032 0.9501
O: 0.3128 0.1938 0.2485
O: 0.3653 0.8720 0.9561
O: 0.3692 0.8710 0.4565
O: 0.4279 0.9327 0.6440
O: 0.4325 0.9327 0.1426
O: 0.4908 0.6131 0.3492
O: 0.5092 0.3869 0.6508
O: 0.5675 0.0673 0.8574
O: 0.5721 0.0673 0.3560
O: 0.6308 0.1290 0.5435
O: 0.6347 0.1280 0.0439
O: 0.6872 0.8062 0.7515
O: 0.7072 0.5968 0.0499
O: 0.7651 0.2730 0.2552
O: 0.7675 0.2729 0.7576
O: 0.8301 0.3291 0.4431
O: 0.8358 0.3300 0.9440
O: 0.8961 0.0065 0.1482
O: 0.9121 0.7892 0.4497
O: 0.9677 0.4683 0.1545
O: 0.9720 0.4690 0.6571

Entry 2:
The following is a simulated powder diffraction line list of Ba4BiPb3O12. It was derived from DFT lattice parameters and positions (PBE), using copper Kα.
Neutral-atom scattering factors, no anomalous dispersion.

Principal peaks in the range 2θ from 10° to 90°, by angle:
hkl 0 0 4, 2θ = 20.3°, d 4.374, I = 9
hkl 1 1 0, 2θ = 28.9°, d 3.093, I = 100
hkl 0 0 8, 2θ = 41.2°, d 2.193, I = 9
hkl 2 0 0, 2θ = 41.3°, d 2.184, I = 19
hkl 1 1 8, 2θ = 51.1°, d 1.788, I = 14
hkl 2 1 4, 2θ = 51.2°, d 1.785, I = 28
hkl 2 0 8, 2θ = 59.8°, d 1.548, I = 12
hkl 3 1 0, 2θ = 67.8°, d 1.382, I = 13
hkl 2 1 12, 2θ = 82.4°, d 1.170, I = 7
hkl 3 2 4, 2θ = 82.6°, d 1.168, I = 15

Cell and atoms:
Lattice parameters (Å, degrees): 4.3687 4.3687 17.5416 90.00 90.00 90.00
Element x y z (fractional)
Ba: 0.0000 0.0000 0.1235
Ba: 0.0000 0.0000 0.3694
Ba: 0.0000 0.0000 0.6306
Ba: 0.0000 0.0000 0.8765
Bi: 0.5000 0.5000 0.5000
Pb: 0.5000 0.5000 0.0000
Pb: 0.5000 0.5000 0.2489
Pb: 0.5000 0.5000 0.7511
O: 0.0000 0.5000 0.0000
O: 0.0000 0.5000 0.2531
O: 0.0000 0.5000 0.5000
O: 0.0000 0.5000 0.7469
O: 0.5000 0.0000 0.0000
O: 0.5000 0.0000 0.2531
O: 0.5000 0.0000 0.5000
O: 0.5000 0.0000 0.7469
O: 0.5000 0.5000 0.1254
O: 0.5000 0.5000 0.3762
O: 0.5000 0.5000 0.6238
O: 0.5000 0.5000 0.8746

Entry 3:
The following is a simulated powder diffraction line list of Ba4BiPb3O12. It was derived from DFT lattice parameters and positions (PBE), using copper Kα.
Neutral-atom scattering factors, no anomalous dispersion.

Principal peaks in the range 2θ from 10° to 90°, by angle:
hkl 1 1 0, 2θ = 20.3°, d 4.370, I = 10
hkl 2 0 0, 2θ = 28.7°, d 3.112, I = 20
hkl 1 1 2, 2θ = 28.9°, d 3.086, I = 100
hkl 2 2 0, 2θ = 41.3°, d 2.188, I = 22
hkl 0 0 4, 2θ = 41.5°, d 2.178, I = 10
hkl 3 1 -2, 2θ = 51.0°, d 1.792, I = 18
hkl 2 0 4, 2θ = 51.2°, d 1.785, I = 9
hkl 0 2 4, 2θ = 51.4°, d 1.779, I = 26
hkl 2 2 4, 2θ = 59.9°, d 1.544, I = 13
hkl 1 1 -6, 2θ = 68.0°, d 1.379, I = 11

Cell and atoms:
Lattice parameters (Å, degrees): 6.2239 6.1562 8.7129 90.00 90.02 90.00
Element x y z (fractional)
Ba: 0.0048 0.0000 0.2475
Ba: 0.4938 0.5000 0.2472
Ba: 0.5062 0.5000 0.7528
Ba: 0.9952 0.0000 0.7525
Bi: 0.0000 0.5000 0.5000
Pb: 0.0000 0.5000 0.0000
Pb: 0.5000 0.0000 0.0000
Pb: 0.5000 0.0000 0.5000
O: 0.0655 0.5000 0.7490
O: 0.2476 0.2514 0.4647
O: 0.2476 0.7486 0.4647
O: 0.2494 0.2506 0.0378
O: 0.2494 0.7494 0.0378
O: 0.4346 0.0000 0.7516
O: 0.5654 0.0000 0.2484
O: 0.7506 0.2506 0.9622
O: 0.7506 0.7494 0.9622
O: 0.7524 0.2514 0.5353
O: 0.7524 0.7486 0.5353
O: 0.9345 0.5000 0.2510